Starting from a cell relaxed with PBE, the powder diffraction line list of RbEu2Cl7 was simulated for Cu Ka.

```
RbEu2Cl7
1.0
13.5337 0.0000 0.0000
0.0000 7.0853 0.0000
0.0000 0.0000 13.3366
Rb Eu Cl
4 8 28
Direct
0.0303 0.2500 0.2012 Rb
0.4697 0.7500 0.7012 Rb
0.5303 0.2500 0.2988 Rb
0.9697 0.7500 0.7988 Rb
0.2424 0.2500 0.5428 Eu
0.2489 0.7500 0.3398 Eu
0.2511 0.2500 0.8398 Eu
0.2576 0.7500 0.0428 Eu
0.7424 0.2500 0.9572 Eu
0.7489 0.7500 0.1602 Eu
0.7511 0.2500 0.6602 Eu
0.7576 0.7500 0.4572 Eu
0.1051 0.7500 0.1888 Cl
0.1223 0.0123 0.4229 Cl
0.1223 0.4877 0.4229 Cl
0.1289 0.0088 0.9575 Cl
0.1289 0.4912 0.9575 Cl
0.1712 0.0087 0.6934 Cl
0.1712 0.4913 0.6934 Cl
0.3288 0.5087 0.1934 Cl
0.3288 0.9913 0.1934 Cl
0.3711 0.5088 0.4575 Cl
0.3711 0.9912 0.4575 Cl
0.3777 0.5123 0.9229 Cl
0.3777 0.9877 0.9229 Cl
0.3949 0.2500 0.6888 Cl
0.6051 0.7500 0.3112 Cl
0.6223 0.0123 0.0771 Cl
0.6223 0.4877 0.0771 Cl
0.6289 0.0088 0.5425 Cl
0.6289 0.4912 0.5425 Cl
0.6712 0.0087 0.8066 Cl
0.6712 0.4913 0.8066 Cl
0.8288 0.5087 0.3066 Cl
0.8288 0.9913 0.3066 Cl
0.8711 0.5088 0.0425 Cl
0.8711 0.9912 0.0425 Cl
0.8777 0.5123 0.5771 Cl
0.8777 0.9877 0.5771 Cl
0.8949 0.2500 0.8112 Cl
```

Peak list (10 most intense, 10 to 90 degrees two-theta, sorted by position)
d 6.767, 2θ 13.08, I = 68; d 6.257, 2θ 14.15, I = 27; d 4.594, 2θ 19.32, I = 100; d 3.628, 2θ 24.54, I = 58; d 2.891, 2θ 30.93, I = 34; d 2.681, 2θ 33.42, I = 38; d 2.447, 2θ 36.73, I = 44; d 2.390, 2θ 37.64, I = 43; d 2.198, 2θ 41.06, I = 40; d 1.775, 2θ 51.48, I = 17


Starting from a cell relaxed with PBE, the powder diffraction line list of ClF5 was simulated for Cu Ka.

```
ClF5
1.0
3.1577 -3.6665 0.0000
3.1577 3.6665 0.0000
0.0000 0.0000 7.6531
Cl F
2 10
Direct
0.1792 0.8208 0.5000 Cl
0.8208 0.1792 0.0000 Cl
0.0237 0.9763 0.3283 F
0.0830 0.4589 0.9930 F
0.3378 0.6622 0.3512 F
0.3485 0.6515 0.6522 F
0.4589 0.0830 0.4930 F
0.5411 0.9170 0.9930 F
0.6515 0.3485 0.1522 F
0.6622 0.3378 0.8512 F
0.9170 0.5411 0.4930 F
0.9763 0.0237 0.8283 F
```

Peak list (10 most intense, 10 to 90 degrees two-theta, sorted by position)
d 4.057, 2θ 21.91, I = 100; d 3.827, 2θ 23.25, I = 28; d 3.667, 2θ 24.28, I = 18; d 3.307, 2θ 26.96, I = 17; d 3.158, 2θ 28.26, I = 17; d 2.647, 2θ 33.86, I = 21; d 2.094, 2θ 43.20, I = 20; d 1.957, 2θ 46.40, I = 33; d 1.579, 2θ 58.45, I = 8; d 1.489, 2θ 62.38, I = 9


What is the formula in the second record?
ClF5


What is the formula in the first record?
RbEu2Cl7